Entry 1:
Theoretical PXRD pattern
Compound: PrTm2Sb2
Radiation: λ = 1.5418 Å (Cu Kα)
Structure: a GGA-PBE-relaxed structure
Peak positions follow from Bragg's law for the DFT cell and can differ from measured ones.

Peak list (6 most intense, 10 to 90 degrees two-theta, in order of rising 2θ)
hkl 0 2 1, 3.988 Å, rel. 61
hkl 3 1 -1, 3.197 Å, rel. 53
hkl 0 4 0, 2.890 Å, rel. 98
hkl 0 0 2, 2.754 Å, rel. 100
hkl 3 3 -1, 2.518 Å, rel. 56
hkl 0 4 2, 1.994 Å, rel. 68

Cell: 10.366 11.559 7.440 Å, 90.00 132.23 90.00°
Space group C2/c (No. 15)
One atom of each set of equivalent atoms:
Pr: 0.000 0.124 0.250 (multiplicity 4)
Tm: 0.160 0.377 0.755 (multiplicity 8)
Sb: 0.000 0.153 0.750 (multiplicity 4)
Sb: 0.000 0.400 0.250 (multiplicity 4)

Entry 2:
Theoretical PXRD pattern
Compound: Tb4PrNdHo2
Radiation: λ = 1.5418 Å (Cu Kα)
Structure: a GGA-PBE-relaxed structure
Peak positions follow from Bragg's law for the DFT cell and can differ from measured ones.

Peak list (6 most intense, 10 to 90 degrees two-theta, in order of rising 2θ)
hkl 2 2 1, 3.011 Å, rel. 44
hkl 0 0 4, 2.899 Å, rel. 35
hkl 0 2 -2, 2.746 Å, rel. 100
hkl 2 2 -3, 2.427 Å, rel. 25
hkl 4 2 0, 1.800 Å, rel. 26
hkl 4 2 4, 1.529 Å, rel. 31

Cell: 7.198 7.198 11.597 Å, 89.99 89.98 60.04°
Space group P-1 (No. 2)
One atom of each set of equivalent atoms:
Tb: 0.166 0.167 0.248 (multiplicity 2)
Tb: 0.167 0.667 0.248 (multiplicity 2)
Tb: 0.333 0.833 0.752 (multiplicity 2)
Tb: 0.334 0.333 0.752 (multiplicity 2)
Pr: 0.000 0.000 0.500 (multiplicity 1)
Pr: 0.500 0.000 0.500 (multiplicity 1)
Nd: 0.500 0.000 0.000 (multiplicity 1)
Nd: 0.500 0.500 0.500 (multiplicity 1)
Ho: 0.000 0.000 0.000 (multiplicity 1)
Ho: 0.000 0.500 0.000 (multiplicity 1)
Ho: 0.000 0.500 0.500 (multiplicity 1)
Ho: 0.500 0.500 0.000 (multiplicity 1)

Entry 3:
Theoretical PXRD pattern
Compound: La2HfAl2
Radiation: λ = 1.5418 Å (Cu Kα)
Structure: a GGA-PBE-relaxed structure
Peak positions follow from Bragg's law for the DFT cell and can differ from measured ones.

Peak list (6 most intense, 10 to 90 degrees two-theta, in order of rising 2θ)
hkl 1 1 1, 3.559 Å, rel. 63
hkl 2 1 0, 3.393 Å, rel. 33
hkl 2 0 1, 2.966 Å, rel. 100
hkl 2 1 1, 2.762 Å, rel. 86
hkl 3 1 0, 2.399 Å, rel. 55
hkl 3 1 2, 1.689 Å, rel. 38

Cell: 7.588 7.588 4.757 Å, 90.00 90.00 90.00°
Space group P4/mbm (No. 127)
One atom of each set of equivalent atoms:
La: 0.173 0.327 0.000 (multiplicity 4)
Hf: 0.000 0.000 0.500 (multiplicity 2)
Al: 0.127 0.627 0.500 (multiplicity 4)

Entry 4:
Theoretical PXRD pattern
Compound: ThBe2H8
Radiation: λ = 1.5418 Å (Cu Kα)
Structure: a GGA-PBE-relaxed structure
Peak positions follow from Bragg's law for the DFT cell and can differ from measured ones.

Peak list (6 most intense, 10 to 90 degrees two-theta, in order of rising 2θ)
hkl 0 0 3, 5.356 Å, rel. 75
hkl 1 0 1, 3.663 Å, rel. 100
hkl 0 1 2, 3.407 Å, rel. 71
hkl 1 0 4, 2.746 Å, rel. 51
hkl 0 1 5, 2.443 Å, rel. 37
hkl 1 1 3, 2.013 Å, rel. 37

Cell: 4.3437 4.3437 16.0689 Å, 90.00 90.00 120.00°
Space group R-3m (No. 166, hexagonal axes)
One atom of each set of equivalent atoms:
Th: 0.0000 0.0000 0.0000 (multiplicity 3)
Be: 0.0000 0.0000 0.2245 (multiplicity 6)
H: 0.0000 0.0000 0.1371 (multiplicity 6)
H: 0.0074 0.5037 0.0673 (multiplicity 18)

Entry 5:
Theoretical PXRD pattern
Compound: FeNiGe4
Radiation: λ = 1.5418 Å (Cu Kα)
Structure: a GGA-PBE-relaxed structure
Peak positions follow from Bragg's law for the DFT cell and can differ from measured ones.

Peak list (6 most intense, 10 to 90 degrees two-theta, in order of rising 2θ)
hkl 2 1 1, 2.524 Å, rel. 100
hkl 1 1 4, 2.181 Å, rel. 61
hkl 2 1 3, 2.074 Å, rel. 80
hkl 2 0 4, 1.928 Å, rel. 52
hkl 3 1 0, 1.841 Å, rel. 65
hkl 3 3 4, 1.211 Å, rel. 32

Cell: 5.823 5.823 10.289 Å, 90.00 90.00 90.00°
Space group I4/mcm (No. 140)
One atom of each set of equivalent atoms:
Fe: 0.000 0.000 0.250 (multiplicity 4)
Ni: 0.000 0.000 0.000 (multiplicity 4)
Ge: 0.157 0.343 0.133 (multiplicity 16)

Entry 6:
Theoretical PXRD pattern
Compound: La4Au
Radiation: λ = 1.5418 Å (Cu Kα)
Structure: a GGA-PBE-relaxed structure
Peak positions follow from Bragg's law for the DFT cell and can differ from measured ones.

Peak list (6 most intense, 10 to 90 degrees two-theta, in order of rising 2θ)
hkl 2 0 2, 3.049 Å, rel. 68
hkl 4 2 0, 2.968 Å, rel. 59
hkl 3 3 1, 2.943 Å, rel. 80
hkl 2 2 2, 2.820 Å, rel. 72
hkl 1 5 1, 2.668 Å, rel. 100
hkl 6 0 2, 1.832 Å, rel. 30

Cell: 12.953 14.835 6.913 Å, 90.00 90.00 90.00°
Space group Fdd2 (No. 43)
One atom of each set of equivalent atoms:
La: 0.073 0.110 0.000 (multiplicity 16)
La: 0.079 0.194 0.536 (multiplicity 16)
Au: 0.000 0.000 0.605 (multiplicity 8)

Entry 7:
Theoretical PXRD pattern
Compound: Nd3Zn2Ge4
Radiation: λ = 1.5418 Å (Cu Kα)
Structure: a GGA-PBE-relaxed structure
Peak positions follow from Bragg's law for the DFT cell and can differ from measured ones.

Peak list (6 most intense, 10 to 90 degrees two-theta, in order of rising 2θ)
hkl 3 1 -1, 2.825 Å, rel. 72
hkl 0 0 3, 2.734 Å, rel. 63
hkl 3 1 0, 2.723 Å, rel. 100
hkl 1 1 2, 2.671 Å, rel. 80
hkl 3 1 -3, 2.261 Å, rel. 69
hkl 0 2 0, 2.119 Å, rel. 54

Cell: 11.405 4.239 8.771 Å, 90.00 110.75 90.00°
Space group C2/m (No. 12)
One atom of each set of equivalent atoms:
Nd: 0.000 0.000 0.000 (multiplicity 2)
Nd: 0.122 0.500 0.690 (multiplicity 4)
Zn: 0.184 0.500 0.339 (multiplicity 4)
Ge: 0.092 0.000 0.398 (multiplicity 4)
Ge: 0.215 0.500 0.061 (multiplicity 4)

Entry 8:
Theoretical PXRD pattern
Compound: AcPm2DyTl2
Radiation: λ = 1.5418 Å (Cu Kα)
Structure: a GGA-PBE-relaxed structure
Peak positions follow from Bragg's law for the DFT cell and can differ from measured ones.

Peak list (6 most intense, 10 to 90 degrees two-theta, in order of rising 2θ)
hkl 1 2 1, 3.180 Å, rel. 84
hkl 1 1 2, 3.056 Å, rel. 100
hkl 1 3 0, 2.673 Å, rel. 37
hkl 1 3 1, 2.552 Å, rel. 32
hkl 2 0 0, 2.451 Å, rel. 74
hkl 0 4 0, 2.389 Å, rel. 28

Cell: 4.904 9.562 8.561 Å, 90.00 90.00 90.00°
Space group Pmc2_1 (No. 26)
One atom of each set of equivalent atoms:
Ac: 0.000 0.084 0.000 (multiplicity 2)
Pm: 0.000 0.325 0.385 (multiplicity 2)
Pm: 0.500 0.421 0.051 (multiplicity 2)
Dy: 0.500 0.189 0.666 (multiplicity 2)
Tl: 0.000 0.374 0.757 (multiplicity 2)
Tl: 0.500 0.126 0.290 (multiplicity 2)

Entry 9:
Theoretical PXRD pattern
Compound: Be2SiPt
Radiation: λ = 1.5418 Å (Cu Kα)
Structure: a GGA-PBE-relaxed structure
Peak positions follow from Bragg's law for the DFT cell and can differ from measured ones.

Peak list (6 most intense, 10 to 90 degrees two-theta, in order of rising 2θ)
hkl 0 0 2, 3.563 Å, rel. 25
hkl 1 1 1, 3.190 Å, rel. 100
hkl 0 2 2, 2.076 Å, rel. 24
hkl 2 0 2, 2.043 Å, rel. 22
hkl 1 1 3, 1.977 Å, rel. 27
hkl 2 2 0, 1.783 Å, rel. 22

Cell: 4.986 5.108 7.126 Å, 90.00 90.00 90.00°
Space group F222 (No. 22)
One atom of each set of equivalent atoms:
Be: 0.000 0.000 0.000 (multiplicity 4)
Be: 0.250 0.250 0.250 (multiplicity 4)
Si: 0.250 0.250 0.750 (multiplicity 4)
Pt: 0.000 0.000 0.500 (multiplicity 4)

Entry 10:
Theoretical PXRD pattern
Compound: ScPa2SiN6
Radiation: λ = 1.5418 Å (Cu Kα)
Structure: a GGA-PBE-relaxed structure
Peak positions follow from Bragg's law for the DFT cell and can differ from measured ones.

Peak list (6 most intense, 10 to 90 degrees two-theta, in order of rising 2θ)
hkl 0 0 1, 4.846 Å, rel. 51
hkl 1 1 0, 3.662 Å, rel. 41
hkl 1 1 1, 2.922 Å, rel. 100
hkl 2 0 0, 2.590 Å, rel. 35
hkl 2 0 1, 2.284 Å, rel. 33
hkl 3 1 1, 1.552 Å, rel. 31

Cell: 5.180 5.180 4.846 Å, 90.00 90.00 90.00°
Space group P4mm (No. 99)
One atom of each set of equivalent atoms:
Sc: 0.000 0.000 0.000 (multiplicity 1)
Pa: 0.000 0.500 0.432 (multiplicity 2)
Si: 0.500 0.500 0.019 (multiplicity 1)
N: 0.000 0.000 0.570 (multiplicity 1)
N: 0.266 0.266 0.156 (multiplicity 4)
N: 0.500 0.500 0.654 (multiplicity 1)

Entry 11:
Theoretical PXRD pattern
Compound: Li6Mg5Cd4
Radiation: λ = 1.5418 Å (Cu Kα)
Structure: a GGA-PBE-relaxed structure
Peak positions follow from Bragg's law for the DFT cell and can differ from measured ones.

Peak list (6 most intense, 10 to 90 degrees two-theta, in order of rising 2θ)
hkl 0 4 2, 4.914 Å, rel. 65
hkl 0 4 3, 4.000 Å, rel. 67
hkl 0 10 1, 2.519 Å, rel. 68
hkl 1 5 2, 2.494 Å, rel. 93
hkl 1 1 4, 2.393 Å, rel. 68
hkl 1 5 3, 2.344 Å, rel. 100

Cell: 3.076 25.536 15.399 Å, 90.00 90.00 90.00°
Space group Cmc2_1 (No. 36)
One atom of each set of equivalent atoms:
Li: 0.000 0.034 0.000 (multiplicity 4)
Li: 0.000 0.069 0.575 (multiplicity 4)
Li: 0.000 0.089 0.270 (multiplicity 4)
Li: 0.000 0.231 0.930 (multiplicity 4)
Li: 0.000 0.262 0.590 (multiplicity 4)
Li: 0.000 0.404 0.223 (multiplicity 4)
Mg: 0.000 0.023 0.819 (multiplicity 4)
Mg: 0.000 0.133 0.090 (multiplicity 4)
Mg: 0.000 0.161 0.426 (multiplicity 4)
Mg: 0.000 0.190 0.758 (multiplicity 4)
Mg: 0.000 0.310 0.757 (multiplicity 4)
Cd: 0.000 0.331 0.090 (multiplicity 4)
Cd: 0.000 0.374 0.408 (multiplicity 4)
Cd: 0.000 0.443 0.923 (multiplicity 4)
Cd: 0.000 0.482 0.656 (multiplicity 4)

Entry 12:
Theoretical PXRD pattern
Compound: Li5Te2
Radiation: λ = 1.5418 Å (Cu Kα)
Structure: a GGA-PBE-relaxed structure
Peak positions follow from Bragg's law for the DFT cell and can differ from measured ones.

Peak list (6 most intense, 10 to 90 degrees two-theta, in order of rising 2θ)
hkl 1 2 1, 3.770 Å, rel. 100
hkl 2 0 0, 3.501 Å, rel. 20
hkl 0 4 0, 3.386 Å, rel. 19
hkl 2 4 0, 2.434 Å, rel. 18
hkl 3 2 1, 2.069 Å, rel. 20
hkl 1 6 1, 2.021 Å, rel. 19

Cell: 7.002 13.545 5.958 Å, 90.00 90.00 90.00°
Space group Ibam (No. 72)
One atom of each set of equivalent atoms:
Li: 0.000 0.000 0.250 (multiplicity 4)
Li: 0.000 0.232 0.250 (multiplicity 8)
Li: 0.156 0.418 0.000 (multiplicity 8)
Te: 0.237 0.377 0.500 (multiplicity 8)

Entry 13:
Theoretical PXRD pattern
Compound: CaCd2Sb2
Radiation: λ = 1.5418 Å (Cu Kα)
Structure: a GGA-PBE-relaxed structure
Peak positions follow from Bragg's law for the DFT cell and can differ from measured ones.

Peak list (6 most intense, 10 to 90 degrees two-theta, in order of rising 2θ)
hkl 1 0 0, 4.090 Å, rel. 58
hkl 0 1 1, 3.604 Å, rel. 37
hkl 0 1 2, 2.789 Å, rel. 100
hkl 1 1 0, 2.361 Å, rel. 97
hkl 0 1 3, 2.159 Å, rel. 60
hkl 2 0 2, 1.802 Å, rel. 27

Cell: 4.7224 4.7224 7.6271 Å, 90.00 90.00 120.00°
Space group P-3m1 (No. 164)
One atom of each set of equivalent atoms:
Ca: 0.0000 0.0000 0.0000 (multiplicity 1)
Cd: 0.3333 0.6667 0.6308 (multiplicity 2)
Sb: 0.3333 0.6667 0.2351 (multiplicity 2)